1.
Cs7Fe4S8: theoretical powder diffraction line list (a wavelength of 1.5418 Å), based on the GGA-PBE geometry in the Materials Project.
No peak broadening, texture or thermal motion is included.

Cell and atoms:
```
data_Cs7Fe4S8
_cell_length_a 19.321
_cell_length_b 8.678
_cell_length_c 17.006
_cell_angle_alpha 90.00
_cell_angle_beta 117.96
_cell_angle_gamma 90.00
_space_group_name_H-M_alt 'C 1 2/c 1'
_space_group_IT_number 15
loop_
_space_group_symop_operation_xyz
'x,y,z'
'-x,-y,-z'
'-x,y,-z+1/2'
'x,-y,z+1/2'
'x+1/2,y+1/2,z'
'-x+1/2,-y+1/2,-z'
'-x+1/2,y+1/2,-z+1/2'
'x+1/2,-y+1/2,z+1/2'
loop_
_atom_site_label
_atom_site_type_symbol
_atom_site_fract_x
_atom_site_fract_y
_atom_site_fract_z
Cs1 Cs 0.000 0.231 0.250
Cs2 Cs 0.005 0.249 0.487
Cs3 Cs 0.236 0.239 0.109
Cs4 Cs 0.241 0.253 0.360
Fe1 Fe 0.059 0.153 0.721
Fe2 Fe 0.061 0.384 0.840
S1 S 0.076 0.422 0.710
S2 S 0.079 0.115 0.870
S3 S 0.133 0.001 0.683
S4 S 0.141 0.467 0.454
```

The 6 most intense peaks (10° ≤ 2θ ≤ 90°), sorted by position:
two_theta	Rel. int.	index
20.47	329	0 2 0
20.86	560	4 0 0
29.18	256	6 0 -4
29.39	1000	4 2 0
30.16	213	2 0 4
35.91	158	6 2 -4

=====

2.
LiTiP4O12: theoretical powder diffraction line list (a wavelength of 1.5418 Å), based on the GGA-PBE geometry in the Materials Project.
No peak broadening, texture or thermal motion is included.

Cell and atoms:
```
data_LiTiP4O12
_cell_length_a 7.327
_cell_length_b 8.441
_cell_length_c 7.720
_cell_angle_alpha 90.00
_cell_angle_beta 94.44
_cell_angle_gamma 90.00
_space_group_name_H-M_alt 'P 1 21 1'
_space_group_IT_number 4
loop_
_space_group_symop_operation_xyz
'x,y,z'
'-x,y+1/2,-z'
loop_
_atom_site_label
_atom_site_type_symbol
_atom_site_fract_x
_atom_site_fract_y
_atom_site_fract_z
Li1 Li 0.248 0.000 0.132
Ti1 Ti 0.253 0.809 0.682
P1 P 0.127 0.435 0.556
P2 P 0.144 0.373 0.190
P3 P 0.422 0.585 0.033
P4 P 0.429 0.189 0.620
O1 O 0.052 0.849 0.465
O2 O 0.062 0.890 0.849
O3 O 0.127 0.590 0.651
O4 O 0.205 0.465 0.369
O5 O 0.224 0.211 0.194
O6 O 0.235 0.489 0.056
O7 O 0.284 0.327 0.656
O8 O 0.331 0.033 0.610
O9 O 0.383 0.684 0.874
O10 O 0.416 0.980 0.961
O11 O 0.438 0.702 0.201
O12 O 0.457 0.735 0.524
```

The 6 most intense peaks (10° ≤ 2θ ≤ 90°), sorted by position:
two_theta	Rel. int.	index
15.58	998	0 1 1
16.06	883	1 0 -1
19.22	416	1 1 -1
24.36	1000	1 2 0
27.01	545	1 0 2
28.27	639	2 1 -1

=====

3.
NaNd2Se3: theoretical powder diffraction line list (a wavelength of 1.5418 Å), based on the GGA-PBE geometry in the Materials Project.
No peak broadening, texture or thermal motion is included.

Cell and atoms:
```
data_NaNd2Se3
_cell_length_a 4.228
_cell_length_b 5.994
_cell_length_c 12.801
_cell_angle_alpha 90.00
_cell_angle_beta 90.00
_cell_angle_gamma 90.00
_space_group_name_H-M_alt 'I m m m'
_space_group_IT_number 71
_space_group_name_Hall '-I 2 2'
loop_
_atom_site_label
_atom_site_type_symbol
_atom_site_fract_x
_atom_site_fract_y
_atom_site_fract_z
Na1 Na 0.000 0.000 0.000
Nd1 Nd 0.000 0.000 0.336
Se1 Se 0.000 0.500 0.000
Se2 Se 0.000 0.500 0.333
```

The 6 most intense peaks (10° ≤ 2θ ≤ 90°), sorted by position:
two_theta	Rel. int.	index
16.33	142	0 1 1
29.77	1000	1 0 3
42.36	126	0 0 6
42.62	496	1 2 3
52.66	143	0 2 6
53.01	130	2 2 0

=====

4.
Na2Si3SnO11: theoretical powder diffraction line list (a wavelength of 1.5418 Å), based on the GGA-PBE geometry in the Materials Project.
No peak broadening, texture or thermal motion is included.

Cell and atoms:
```
data_Na2Si3SnO11
_cell_length_a 7.971
_cell_length_b 10.345
_cell_length_c 11.795
_cell_angle_alpha 90.00
_cell_angle_beta 90.00
_cell_angle_gamma 90.00
_space_group_name_H-M_alt 'C 2 2 21'
_space_group_IT_number 20
loop_
_space_group_symop_operation_xyz
'x,y,z'
'-x,-y,z+1/2'
'x,-y,-z'
'-x,y,-z+1/2'
'x+1/2,y+1/2,z'
'-x+1/2,-y+1/2,z+1/2'
'x+1/2,-y+1/2,-z'
'-x+1/2,y+1/2,-z+1/2'
loop_
_atom_site_label
_atom_site_type_symbol
_atom_site_fract_x
_atom_site_fract_y
_atom_site_fract_z
Na1 Na 0.000 0.187 0.250
Na2 Na 0.218 0.500 0.500
Si1 Si 0.166 0.500 0.000
Si2 Si 0.184 0.118 0.715
Sn1 Sn 0.000 0.405 0.750
O1 O 0.000 0.055 0.750
O2 O 0.045 0.406 0.925
O3 O 0.062 0.170 0.041
O4 O 0.173 0.453 0.291
O5 O 0.192 0.273 0.734
O6 O 0.208 0.087 0.580
```

The 6 most intense peaks (10° ≤ 2θ ≤ 90°), sorted by position:
two_theta	Rel. int.	index
14.03	446	1 1 0
15.02	508	0 0 2
15.92	508	1 1 1
29.26	1000	2 2 1
30.31	329	0 0 4
48.14	290	2 2 5

=====

5.
SbCl4F: theoretical powder diffraction line list (a wavelength of 1.5418 Å), based on the GGA-PBE geometry in the Materials Project.
No peak broadening, texture or thermal motion is included.

Cell and atoms:
```
data_SbCl4F
_cell_length_a 13.446
_cell_length_b 13.446
_cell_length_c 8.301
_cell_angle_alpha 90.00
_cell_angle_beta 90.00
_cell_angle_gamma 90.00
_space_group_name_H-M_alt 'I -4'
_space_group_IT_number 82
loop_
_space_group_symop_operation_xyz
'x,y,z'
'y,-x,-z'
'-x,-y,z'
'-y,x,-z'
'x+1/2,y+1/2,z+1/2'
'y+1/2,-x+1/2,-z+1/2'
'-x+1/2,-y+1/2,z+1/2'
'-y+1/2,x+1/2,-z+1/2'
loop_
_atom_site_label
_atom_site_type_symbol
_atom_site_fract_x
_atom_site_fract_y
_atom_site_fract_z
Sb1 Sb 0.046 0.280 0.260
Cl1 Cl 0.040 0.313 0.536
Cl2 Cl 0.041 0.296 0.980
Cl3 Cl 0.059 0.858 0.271
Cl4 Cl 0.199 0.199 0.267
F1 F 0.079 0.622 0.251
```

The 6 most intense peaks (10° ≤ 2θ ≤ 90°), sorted by position:
two_theta	Rel. int.	index
12.53	1000	1 0 1
18.22	406	1 2 1
18.66	474	2 2 0
20.89	302	1 3 0
21.41	220	0 0 2
26.20	384	2 3 1